Starting from a GGA-PBE-relaxed structure, the XRD peak list of Er2CoSi2MoC was simulated for Cu Kα (λ = 1.5418 Å).

Cell and atoms:
abc: 5.7627 5.7627 6.9155
angles: 125.41 125.41 38.87
Sites, in units of the cell vectors:
Er1 0.0000 0.0000 0.0000
Er2 0.1349 0.1349 0.5923
Co1 0.3629 0.3629 0.2049
Si1 0.4373 0.4373 0.6186
Si2 0.7258 0.7258 0.9900
Mo1 0.7665 0.7665 0.3849
C1 0.5582 0.5582 0.2891

Peak list (8 most intense, 2θ from 10° to 90°, in order of falling intensity)
two_theta  intensity
36.32  100.0
34.16  84.0
25.44  42.2
33.59  37.9
33.73  35.7
47.41  28.4
40.83  28.0
34.28  27.4